(1)
The following is a simulated powder diffractogram of LiCrSiO4. It was derived from a structure optimized by DFT (GGA+U), using a wavelength of 1.5418 Å.

Structure:
Cell: 5.699 5.699 8.048 Å, 90.00 90.00 90.00°
Fractional positions:
Li: 0.000 0.220 0.000
Li: 0.000 0.780 0.500
Li: 0.220 0.000 0.250
Li: 0.780 0.000 0.750
Cr: 0.235 0.500 0.250
Cr: 0.500 0.235 0.000
Cr: 0.500 0.765 0.500
Cr: 0.765 0.500 0.750
Si: 0.255 0.255 0.625
Si: 0.255 0.745 0.875
Si: 0.745 0.255 0.375
Si: 0.745 0.745 0.125
O: 0.016 0.260 0.739
O: 0.016 0.740 0.761
O: 0.260 0.016 0.511
O: 0.260 0.496 0.501
O: 0.260 0.504 0.999
O: 0.260 0.984 0.989
O: 0.496 0.260 0.749
O: 0.496 0.740 0.751
O: 0.504 0.260 0.251
O: 0.504 0.740 0.249
O: 0.740 0.016 0.489
O: 0.740 0.496 0.499
O: 0.740 0.504 0.001
O: 0.740 0.984 0.011
O: 0.984 0.260 0.261
O: 0.984 0.740 0.239

Top 6 peaks for 2θ = 15–90°, low angle first:
15.55 deg, intensity 36.2
24.71 deg, intensity 47.7
27.13 deg, intensity 26.6
37.01 deg, intensity 100.0
45.01 deg, intensity 44.2
65.55 deg, intensity 60.6

***

(2)
The following is a simulated powder diffractogram of LiNiP3O9. It was derived from a structure optimized by DFT (GGA+U), using a wavelength of 1.5418 Å.

Structure:
Cell: 6.495 6.832 7.302 Å, 101.47 92.80 90.63°
Fractional positions:
Li: 0.139 0.078 0.325
Li: 0.861 0.922 0.675
Ni: 0.149 0.587 0.361
Ni: 0.851 0.413 0.639
P: 0.141 0.716 0.950
P: 0.339 0.386 0.716
P: 0.350 0.939 0.699
P: 0.650 0.061 0.301
P: 0.661 0.614 0.284
P: 0.859 0.284 0.050
O: 0.052 0.309 0.178
O: 0.120 0.772 0.159
O: 0.165 0.403 0.570
O: 0.175 0.865 0.555
O: 0.272 0.516 0.913
O: 0.295 0.879 0.897
O: 0.323 0.175 0.772
O: 0.434 0.110 0.342
O: 0.449 0.556 0.320
O: 0.551 0.444 0.680
O: 0.566 0.890 0.658
O: 0.677 0.825 0.228
O: 0.705 0.121 0.103
O: 0.728 0.484 0.087
O: 0.825 0.135 0.445
O: 0.835 0.597 0.430
O: 0.880 0.228 0.841
O: 0.948 0.691 0.822

Top 6 peaks for 2θ = 15–90°, low angle first:
18.85 deg, intensity 100.0
28.82 deg, intensity 63.0
29.15 deg, intensity 43.1
30.88 deg, intensity 72.0
31.70 deg, intensity 94.0
32.81 deg, intensity 78.5

***

(3)
The following is a simulated powder diffractogram of Mn2OF3. It was derived from a structure optimized by DFT (GGA+U), using a wavelength of 1.5418 Å.

Structure:
Cell: 5.810 5.810 5.810 Å, 113.87 106.12 108.52°
Fractional positions:
Mn: 0.000 0.000 0.500
Mn: 0.000 0.500 0.000
Mn: 0.462 0.212 0.250
Mn: 0.538 0.788 0.750
O: 0.163 0.913 0.250
O: 0.837 0.087 0.750
F: 0.218 0.468 0.750
F: 0.296 0.000 0.796
F: 0.296 0.500 0.296
F: 0.704 0.000 0.204
F: 0.704 0.500 0.704
F: 0.782 0.532 0.250

Top 6 peaks for 2θ = 15–90°, low angle first:
25.51 deg, intensity 95.2
26.26 deg, intensity 94.9
33.75 deg, intensity 100.0
50.47 deg, intensity 63.0
51.31 deg, intensity 48.0
64.54 deg, intensity 49.2

***

(4)
The following is a simulated powder diffractogram of Sr2VInO6. It was derived from a structure optimized by DFT (GGA+U), using a wavelength of 1.5418 Å.

Structure:
Cell: 5.703 5.703 5.703 Å, 60.00 60.00 60.00°
Fractional positions:
Sr: 0.250 0.250 0.250
Sr: 0.750 0.750 0.750
V: 0.000 0.000 0.000
In: 0.500 0.500 0.500
O: 0.235 0.235 0.765
O: 0.235 0.765 0.235
O: 0.235 0.765 0.765
O: 0.765 0.235 0.235
O: 0.765 0.235 0.765
O: 0.765 0.765 0.235

Top 6 peaks for 2θ = 15–90°, low angle first:
19.06 deg, intensity 6.9
31.37 deg, intensity 100.0
44.96 deg, intensity 35.2
55.84 deg, intensity 38.1
65.46 deg, intensity 20.5
74.39 deg, intensity 16.9

***

(5)
The following is a simulated powder diffractogram of Li4Mn3OF11. It was derived from a structure optimized by DFT (GGA+U), using a wavelength of 1.5418 Å.

Structure:
Cell: 6.039 6.105 6.109 Å, 100.76 100.61 99.97°
Fractional positions:
Li: 0.000 0.000 0.000
Li: 0.200 0.292 0.550
Li: 0.473 0.936 0.745
Li: 0.728 0.492 0.832
Mn: 0.334 0.606 0.150
Mn: 0.618 0.242 0.260
Mn: 0.909 0.761 0.483
O: 0.647 0.565 0.271
F: 0.033 0.662 0.045
F: 0.147 0.990 0.715
F: 0.232 0.273 0.188
F: 0.297 0.720 0.445
F: 0.376 0.497 0.854
F: 0.457 0.934 0.110
F: 0.529 0.226 0.541
F: 0.726 0.224 0.986
F: 0.736 0.799 0.747
F: 0.891 0.016 0.338
F: 0.948 0.468 0.557

Top 6 peaks for 2θ = 15–90°, low angle first:
15.14 deg, intensity 100.0
19.00 deg, intensity 76.2
23.80 deg, intensity 54.6
24.45 deg, intensity 47.7
30.90 deg, intensity 46.3
31.01 deg, intensity 40.9

***

(6)
The following is a simulated powder diffractogram of SrCaCoP2O8. It was derived from a structure optimized by DFT (GGA+U), using a wavelength of 1.5418 Å.

Structure:
Cell: 5.721 6.946 9.510 Å, 109.50 101.69 98.65°
Fractional positions:
Sr: 0.235 0.192 0.441
Sr: 0.765 0.808 0.559
Ca: 0.498 0.416 0.160
Ca: 0.502 0.584 0.840
Co: 0.145 0.851 0.062
Co: 0.855 0.149 0.938
P: 0.106 0.582 0.274
P: 0.339 0.034 0.799
P: 0.661 0.966 0.201
P: 0.894 0.418 0.726
O: 0.073 0.409 0.111
O: 0.122 0.452 0.666
O: 0.136 0.967 0.874
O: 0.152 0.800 0.261
O: 0.229 0.999 0.630
O: 0.340 0.559 0.379
O: 0.458 0.097 0.191
O: 0.482 0.268 0.902
O: 0.518 0.732 0.098
O: 0.542 0.903 0.809
O: 0.660 0.441 0.621
O: 0.771 0.001 0.370
O: 0.848 0.200 0.739
O: 0.864 0.033 0.126
O: 0.878 0.548 0.334
O: 0.927 0.591 0.889

Top 6 peaks for 2θ = 15–90°, low angle first:
27.89 deg, intensity 100.0
29.73 deg, intensity 61.5
30.98 deg, intensity 43.6
31.67 deg, intensity 38.7
32.86 deg, intensity 45.4
46.06 deg, intensity 33.0